(1)
For PmPr5Dy2Sc, DFT lattice parameters and positions (PBE) gives the theoretical X-ray diffraction stick pattern in this record (Cu Kα).

Most intense lines, 2θ from 5° to 70°, in order of rising 2θ:
- 26.71 deg, intensity 36, hkl 1 3 2
- 30.97 deg, intensity 10, hkl 1 1 3
- 31.33 deg, intensity 100, hkl 1 5 2
- 32.49 deg, intensity 14, hkl 0 8 0
- 33.03 deg, intensity 41, hkl 2 0 0
- 34.64 deg, intensity 17, hkl 0 0 4
- 47.00 deg, intensity 10, hkl 2 8 0
- 48.61 deg, intensity 14, hkl 2 0 4
- 57.92 deg, intensity 17, hkl 3 5 2
- 59.86 deg, intensity 13, hkl 1 13 2

Crystal structure
abc: 5.4257 22.0492 10.3570
angles: 90.00 90.00 90.00
Space group Cmcm (No. 63)
Symmetry-distinct sites (fractional):
Pm  0.0000  0.1015  0.2500 x4
Pr  0.0000  0.0000  0.0000 x4
Pr  0.0000  0.1268  0.7500 x4
Pr  0.0000  0.2217  0.0622 x8
Pr  0.0000  0.4984  0.2500 x4
Dy  0.0000  0.3840  0.5022 x8
Sc  0.0000  0.2861  0.7500 x4

=====

(2)
For K2Cd6Rh, DFT lattice parameters and positions (PBE) gives the theoretical X-ray diffraction stick pattern in this record (Cu Kα).

Most intense lines, 2θ from 5° to 70°, in order of rising 2θ:
- 17.81 deg, intensity 48, hkl 2 0 0
- 29.74 deg, intensity 15, hkl 3 1 1
- 31.10 deg, intensity 100, hkl 2 2 2
- 36.06 deg, intensity 87, hkl 4 0 0
- 39.42 deg, intensity 24, hkl 3 3 1
- 40.49 deg, intensity 19, hkl 4 2 0
- 47.42 deg, intensity 12, hkl 3 3 3
- 51.92 deg, intensity 54, hkl 4 4 0
- 61.76 deg, intensity 31, hkl 6 2 2
- 64.84 deg, intensity 17, hkl 4 4 4

Crystal structure
abc: 9.9628 9.9628 9.9628
angles: 90.00 90.00 90.00
Space group Fm-3m (No. 225)
Symmetry-distinct sites (fractional):
K  0.2500  0.2500  0.2500 x8
Cd  0.0000  0.0000  0.2291 x24
Rh  0.0000  0.0000  0.5000 x4

=====

(3)
For Ac3HfB2N6, DFT lattice parameters and positions (PBE) gives the theoretical X-ray diffraction stick pattern in this record (Cu Kα).

Most intense lines, 2θ from 5° to 70°, in order of rising 2θ:
- 18.33 deg, intensity 16, hkl 1 0 0
- 22.54 deg, intensity 71, hkl 1 0 1
- 32.03 deg, intensity 95, hkl 1 1 0
- 32.15 deg, intensity 100, hkl 0 1 2
- 39.52 deg, intensity 28, hkl 0 2 1
- 46.02 deg, intensity 45, hkl 2 0 2
- 51.75 deg, intensity 18, hkl 2 1 1
- 51.91 deg, intensity 16, hkl 1 1 3
- 57.14 deg, intensity 58, hkl 3 0 0
- 57.40 deg, intensity 17, hkl 1 0 4

Crystal structure
abc: 5.5887 5.5887 6.8066
angles: 90.00 90.00 120.00
Space group P-3m1 (No. 164)
Symmetry-distinct sites (fractional):
Ac  0.0000  0.0000  0.0000 x1
Ac  0.3333  0.6667  0.6773 x2
Hf  0.0000  0.0000  0.5000 x1
B  0.3333  0.6667  0.2773 x2
N  0.1811  0.3622  0.3036 x6

=====

(4)
For Hg4Te2N3, DFT lattice parameters and positions (PBE) gives the theoretical X-ray diffraction stick pattern in this record (Cu Kα).

Most intense lines, 2θ from 5° to 70°, in order of rising 2θ:
- 23.40 deg, intensity 21, hkl 1 1 1
- 23.73 deg, intensity 47, hkl 1 5 0
- 28.11 deg, intensity 78, hkl 1 5 1
- 29.94 deg, intensity 65, hkl 0 0 2
- 32.18 deg, intensity 100, hkl 1 7 1
- 38.21 deg, intensity 30, hkl 0 12 0
- 38.56 deg, intensity 25, hkl 1 5 2
- 39.54 deg, intensity 28, hkl 2 2 1
- 49.29 deg, intensity 33, hkl 0 12 2
- 54.58 deg, intensity 23, hkl 1 7 3

Crystal structure
abc: 5.0091 28.2601 5.9696
angles: 90.00 90.00 90.00
Space group Cccm (No. 66)
Symmetry-distinct sites (fractional):
Hg  0.1089  0.2043  0.0000 x8
Hg  0.2480  0.4588  0.0000 x8
Te  0.1467  0.3854  0.5000 x8
N  0.0000  0.0000  0.2500 x4
N  0.0000  0.3449  0.2500 x8